[1]
# Rb2SbI6F
Computed PXRD pattern, Cu Kα, 1.54184 Å. Input: the PBE geometry in Alexandria.

Structure:
```
data_Rb2SbI6F
_chemical_formula_sum 'Rb2 Sb1 I6 F1'
_symmetry_space_group_name_H-M 'P 1'
_symmetry_Int_Tables_number 1
_symmetry_space_group_name_Hall 'P 1'
_cell_length_a 8.420
_cell_length_b 8.420
_cell_length_c 8.420
_cell_angle_alpha 123.15
_cell_angle_beta 123.15
_cell_angle_gamma 84.63
loop_
_atom_site_label
_atom_site_type_symbol
_atom_site_fract_x
_atom_site_fract_y
_atom_site_fract_z
Rb1 Rb 0.250 0.750 0.500
Rb2 Rb 0.750 0.250 0.500
Sb1 Sb 0.000 0.000 0.000
I1 I 0.237 0.237 0.000
I2 I 0.255 0.255 0.510
I3 I 0.255 0.745 0.000
I4 I 0.745 0.255 0.000
I5 I 0.745 0.745 0.490
I6 I 0.763 0.763 0.000
F1 F 0.500 0.500 0.000
```

Most intense lines, 5 to 70 degrees two-theta, sorted by position:
2theta, I (rel.)
26.4, 100
28.7, 37
31.6, 59
43.2, 48
53.2, 28
54.5, 24



[2]
# Rb3TaI2F6
Computed PXRD pattern, Cu Kα, 1.54184 Å. Input: the PBE geometry in Alexandria.

Structure:
```
data_Rb3TaI2F6
_chemical_formula_sum 'Rb3 Ta1 I2 F6'
_symmetry_space_group_name_H-M 'P 1'
_symmetry_Int_Tables_number 1
_symmetry_space_group_name_Hall 'P 1'
_cell_length_a 9.646
_cell_length_b 9.646
_cell_length_c 5.656
_cell_angle_alpha 93.36
_cell_angle_beta 93.36
_cell_angle_gamma 50.18
loop_
_atom_site_label
_atom_site_type_symbol
_atom_site_fract_x
_atom_site_fract_y
_atom_site_fract_z
Rb1 Rb 0.000 0.000 0.000
Rb2 Rb 0.000 0.500 0.500
Rb3 Rb 0.500 0.000 0.500
Ta1 Ta 0.500 0.500 0.500
I1 I 0.199 0.199 0.989
I2 I 0.801 0.801 0.011
F1 F 0.324 0.664 0.264
F2 F 0.336 0.676 0.736
F3 F 0.389 0.389 0.507
F4 F 0.611 0.611 0.493
F5 F 0.664 0.324 0.264
F6 F 0.676 0.336 0.736
```

Most intense lines, 5 to 70 degrees two-theta, sorted by position:
2theta, I (rel.)
18.7, 75
19.5, 90
20.0, 100
20.4, 94
28.5, 60
29.2, 54



[3]
# SbS7IF6
Computed PXRD pattern, Cu Kα, 1.54184 Å. Input: the PBE geometry in Alexandria.

Structure:
```
data_SbS7IF6
_chemical_formula_sum 'Sb4 S28 I4 F24'
_symmetry_space_group_name_H-M 'P 1'
_symmetry_Int_Tables_number 1
_symmetry_space_group_name_Hall 'P 1'
_cell_length_a 9.571
_cell_length_b 12.289
_cell_length_c 12.746
_cell_angle_alpha 90.00
_cell_angle_beta 90.00
_cell_angle_gamma 90.00
loop_
_atom_site_label
_atom_site_type_symbol
_atom_site_fract_x
_atom_site_fract_y
_atom_site_fract_z
Sb1 Sb 0.168 0.151 0.111
Sb2 Sb 0.332 0.849 0.611
Sb3 Sb 0.668 0.349 0.889
Sb4 Sb 0.832 0.651 0.389
S1 S 0.043 0.440 0.678
S2 S 0.098 0.184 0.612
S3 S 0.146 0.377 0.790
S4 S 0.177 0.201 0.753
S5 S 0.202 0.366 0.436
S6 S 0.219 0.496 0.545
S7 S 0.235 0.771 0.006
S8 S 0.265 0.229 0.506
S9 S 0.281 0.504 0.045
S10 S 0.298 0.634 0.936
S11 S 0.323 0.799 0.253
S12 S 0.354 0.623 0.290
S13 S 0.402 0.816 0.112
S14 S 0.457 0.560 0.178
S15 S 0.543 0.060 0.322
S16 S 0.598 0.316 0.388
S17 S 0.646 0.123 0.210
S18 S 0.677 0.299 0.247
S19 S 0.702 0.134 0.564
S20 S 0.719 0.004 0.455
S21 S 0.735 0.729 0.994
S22 S 0.765 0.271 0.494
S23 S 0.781 0.996 0.955
S24 S 0.798 0.866 0.064
S25 S 0.823 0.701 0.747
S26 S 0.854 0.877 0.710
S27 S 0.902 0.684 0.888
S28 S 0.957 0.940 0.822
I1 I 0.076 0.531 0.145
I2 I 0.424 0.469 0.645
I3 I 0.576 0.969 0.855
I4 I 0.924 0.031 0.355
F1 F 0.008 0.712 0.349
F2 F 0.072 0.040 0.032
F3 F 0.156 0.057 0.234
F4 F 0.158 0.915 0.575
F5 F 0.177 0.244 0.990
F6 F 0.237 0.742 0.694
F7 F 0.263 0.258 0.194
F8 F 0.323 0.756 0.490
F9 F 0.342 0.085 0.075
F10 F 0.344 0.943 0.734
F11 F 0.428 0.960 0.532
F12 F 0.492 0.288 0.849
F13 F 0.508 0.788 0.651
F14 F 0.572 0.460 0.968
F15 F 0.656 0.443 0.766
F16 F 0.658 0.585 0.425
F17 F 0.677 0.256 0.010
F18 F 0.737 0.758 0.306
F19 F 0.763 0.242 0.806
F20 F 0.823 0.744 0.510
F21 F 0.842 0.415 0.925
F22 F 0.844 0.557 0.266
F23 F 0.928 0.540 0.468
F24 F 0.992 0.212 0.151
```

Most intense lines, 5 to 70 degrees two-theta, sorted by position:
2theta, I (rel.)
16.0, 58
16.7, 100
18.5, 79
19.9, 70
23.6, 57
25.9, 85